# K3Pu3SbSe8
Calculated X-ray diffraction stick pattern, Cu Kα (λ = 1.5418 Å). Input: a GGA-PBE-relaxed structure.
No peak broadening, texture or thermal motion is included.

Structural model:
Cell: 8.5188 8.5188 9.1402 Å, 117.88 117.88 59.70°
Atoms (fractional coordinates):
K  0.0000  0.0000  0.0000
K  0.0000  0.5000  0.0000
K  0.5000  0.0000  0.0000
Pu  0.0000  0.5000  0.5000
Pu  0.5000  0.0000  0.5000
Pu  0.5000  0.5000  0.5000
Sb  0.0000  0.0000  0.5000
Se  0.2332  0.2332  0.6978
Se  0.2342  0.7326  0.7001
Se  0.2647  0.2647  0.2960
Se  0.2674  0.7658  0.2999
Se  0.7326  0.2342  0.7001
Se  0.7353  0.7353  0.7040
Se  0.7658  0.2674  0.2999
Se  0.7668  0.7668  0.3022

Peak list (10 most intense, 2θ from 5° to 70°, by angle)
- 11.50°, rel. 91
- 24.51°, rel. 16
- 28.75°, rel. 100
- 36.59°, rel. 19
- 39.67°, rel. 34
- 42.44°, rel. 25
- 42.65°, rel. 12
- 44.12°, rel. 15
- 50.01°, rel. 16
- 52.21°, rel. 13